Ho2AuO4F: simulated PXRD pattern (Cu Kα (λ = 1.5418 Å)), based on the GGA-PBE geometry in Alexandria.
Lines closer than 0.1° are merged.

Largest 10 diffraction maxima, by angle, 2θ from 5° to 70°:
(1 1 0), 28.0°, I = 43
(2 0 -2), 28.9°, I = 100
(1 1 1), 33.9°, I = 50
(4 0 -1), 34.7°, I = 28
(3 1 -1), 37.4°, I = 48
(3 1 -2), 42.1°, I = 30
(1 1 -3), 51.9°, I = 26
(5 1 0), 55.8°, I = 18
(3 1 2), 58.2°, I = 18
(2 2 -2), 62.5°, I = 24

Atomic structure:
a = 10.343 Å, b = 3.387 Å, c = 6.351 Å
α = 90.00°, β = 114.21°, γ = 90.00°
Space group C2/m (No. 12)
One atom of each set of equivalent atoms:
Ho 0.187 0.000 0.207 (multiplicity 4)
Au 0.000 0.000 0.500 (multiplicity 2)
O 0.142 0.500 0.434 (multiplicity 4)
O 0.170 0.000 0.818 (multiplicity 4)
F 0.000 0.500 0.000 (multiplicity 2)

KGaP2H2: simulated PXRD pattern (Cu Kα (λ = 1.5418 Å)), based on the GGA-PBE geometry in Alexandria.
Lines closer than 0.1° are merged.

Largest 10 diffraction maxima, by angle, 2θ from 5° to 70°:
(2 0 0), 14.7°, I = 78
(0 0 2), 23.2°, I = 15
(2 1 1), 25.1°, I = 100
(4 0 0), 29.6°, I = 59
(3 0 2), 32.3°, I = 16
(1 2 1), 36.4°, I = 33
(0 2 2), 41.2°, I = 14
(3 0 3), 41.9°, I = 20
(1 2 3), 50.0°, I = 16
(2 3 1), 55.1°, I = 16

Atomic structure:
a = 12.087 Å, b = 5.339 Å, c = 7.656 Å
α = 90.00°, β = 90.00°, γ = 90.00°
Space group Pnma (No. 62)
One atom of each set of equivalent atoms:
K 0.201 0.250 0.218 (multiplicity 4)
Ga 0.007 0.750 0.322 (multiplicity 4)
P 0.063 0.538 0.897 (multiplicity 8)
H 0.071 0.250 0.512 (multiplicity 4)
H 0.138 0.750 0.351 (multiplicity 4)

La3As4Au3: simulated PXRD pattern (Cu Kα (λ = 1.5418 Å)), based on the GGA-PBE geometry in Alexandria.
Lines closer than 0.1° are merged.

Largest 10 diffraction maxima, by angle, 2θ from 5° to 70°:
(2 1 1), 22.1°, I = 48
(2 2 0), 25.5°, I = 17
(3 2 1), 34.0°, I = 100
(4 2 0), 40.9°, I = 65
(3 3 2), 43.0°, I = 15
(4 2 2), 45.0°, I = 14
(5 1 0), 46.9°, I = 12
(5 2 1), 50.7°, I = 18
(4 4 4), 65.5°, I = 14
(6 4 0), 68.6°, I = 14

Atomic structure:
a = 9.868 Å, b = 9.868 Å, c = 9.868 Å
α = 90.00°, β = 90.00°, γ = 90.00°
Space group I-43d (No. 220)
One atom of each set of equivalent atoms:
La 0.000 0.250 0.875 (multiplicity 12)
As 0.084 0.416 0.584 (multiplicity 16)
Au 0.000 0.250 0.375 (multiplicity 12)

NaPaPb: simulated PXRD pattern (Cu Kα (λ = 1.5418 Å)), based on the GGA-PBE geometry in Alexandria.
Lines closer than 0.1° are merged.

Largest 10 diffraction maxima, by angle, 2θ from 5° to 70°:
(0 0 2), 6.9°, I = 100
(1 0 5), 29.0°, I = 5
(1 1 0), 33.0°, I = 19
(1 0 7), 33.8°, I = 40
(1 0 9), 39.3°, I = 9
(2 0 0), 47.3°, I = 7
(2 0 2), 47.9°, I = 4
(1 1 10), 48.8°, I = 4
(2 1 7), 59.4°, I = 12
(2 1 9), 63.2°, I = 5

Atomic structure:
a = 3.841 Å, b = 3.841 Å, c = 25.720 Å
α = 90.00°, β = 90.00°, γ = 90.00°
Space group I4/mmm (No. 139)
One atom of each set of equivalent atoms:
Na 0.000 0.000 0.069 (multiplicity 4)
Pa 0.000 0.000 0.229 (multiplicity 4)
Pb 0.000 0.000 0.353 (multiplicity 4)

La2Ni7: simulated PXRD pattern (Cu Kα (λ = 1.5418 Å)), based on the GGA-PBE geometry in Alexandria.
Lines closer than 0.1° are merged.

Largest 10 diffraction maxima, by angle, 2θ from 5° to 70°:
(1 0 10), 31.7°, I = 39
(0 1 11), 33.7°, I = 33
(1 1 0), 35.7°, I = 46
(0 2 1), 41.5°, I = 36
(1 1 9), 42.1°, I = 100
(0 0 18), 44.1°, I = 16
(2 0 8), 46.0°, I = 14
(0 1 17), 46.6°, I = 18
(0 2 19), 64.1°, I = 16
(0 3 9), 68.5°, I = 22

Atomic structure:
a = 5.0365 Å, b = 5.0365 Å, c = 36.9808 Å
α = 90.00°, β = 90.00°, γ = 120.00°
Space group R-3m (No. 166, hexagonal axes)
One atom of each set of equivalent atoms:
La 0.0000 0.0000 0.0505 (multiplicity 6)
La 0.0000 0.0000 0.1463 (multiplicity 6)
Ni 0.0000 0.0000 0.2787 (multiplicity 6)
Ni 0.0000 0.0000 0.3874 (multiplicity 6)
Ni 0.0000 0.0000 0.5000 (multiplicity 3)
Ni 0.0000 0.5000 0.0000 (multiplicity 9)
Ni 0.0008 0.5004 0.1084 (multiplicity 18)

Np5S6: simulated PXRD pattern (Cu Kα (λ = 1.5418 Å)), based on the GGA-PBE geometry in Alexandria.
Lines closer than 0.1° are merged.

Largest 10 diffraction maxima, by angle, 2θ from 5° to 70°:
(1 1 0), 15.8°, I = 10
(2 0 0), 28.0°, I = 74
(0 0 2), 28.2°, I = 23
(1 3 1), 32.5°, I = 100
(0 6 0), 46.6°, I = 37
(2 0 2), 46.8°, I = 37
(3 3 1), 55.3°, I = 36
(1 3 3), 55.5°, I = 12
(2 6 -2), 58.0°, I = 13
(2 6 2), 68.1°, I = 12

Atomic structure:
a = 6.755 Å, b = 11.693 Å, c = 6.722 Å
α = 90.00°, β = 109.53°, γ = 90.00°
Space group C2/m (No. 12)
One atom of each set of equivalent atoms:
Np 0.000 0.000 0.000 (multiplicity 2)
Np 0.000 0.166 0.500 (multiplicity 4)
Np 0.000 0.335 0.000 (multiplicity 4)
S 0.250 0.000 0.749 (multiplicity 4)
S 0.250 0.166 0.253 (multiplicity 8)

What did the fourth record say?
NaPaPb: simulated PXRD pattern (Cu Kα (λ = 1.5418 Å)), based on the GGA-PBE geometry in Alexandria.
Lines closer than 0.1° are merged.

Largest 10 diffraction maxima, by angle, 2θ from 5° to 70°:
(0 0 2), 6.9°, I = 100
(1 0 5), 29.0°, I = 5
(1 1 0), 33.0°, I = 19
(1 0 7), 33.8°, I = 40
(1 0 9), 39.3°, I = 9
(2 0 0), 47.3°, I = 7
(2 0 2), 47.9°, I = 4
(1 1 10), 48.8°, I = 4
(2 1 7), 59.4°, I = 12
(2 1 9), 63.2°, I = 5

Atomic structure:
a = 3.841 Å, b = 3.841 Å, c = 25.720 Å
α = 90.00°, β = 90.00°, γ = 90.00°
Space group I4/mmm (No. 139)
One atom of each set of equivalent atoms:
Na 0.000 0.000 0.069 (multiplicity 4)
Pa 0.000 0.000 0.229 (multiplicity 4)
Pb 0.000 0.000 0.353 (multiplicity 4)